1.
Calculated powder diffractogram of KCeF4 for Cu Kα (weighted mean of Kα1 and Kα2), from a crystal structure in the Materials Project, relaxed with GGA-PBE.
Intensities are scaled so that the largest is 100.

Cell and atoms:
Unit cell a=4.0795 b=4.0795 c=6.2216 alpha=90.00 beta=90.00 gamma=90.00
Element x y z (fractional)
K1 0.0000 0.0000 0.0000
Ce1 0.5000 0.5000 0.5000
F1 0.0000 0.5000 0.2860
F2 0.0000 0.5000 0.7140
F3 0.5000 0.0000 0.2860
F4 0.5000 0.0000 0.7140

Top 8 peaks for 2θ = 5–70°, in order of rising 2θ:
- 14.24°, intensity 42
- 21.79°, intensity 22
- 26.12°, intensity 100
- 42.75°, intensity 49
- 44.41°, intensity 23
- 49.29°, intensity 17
- 52.25°, intensity 28
- 68.51°, intensity 16

=====

2.
Calculated powder diffractogram of KCeF4 for Cu Kα (weighted mean of Kα1 and Kα2), from a crystal structure in the Materials Project, relaxed with GGA-PBE.
Intensities are scaled so that the largest is 100.

Cell and atoms:
Unit cell a=6.3770 b=3.7947 c=15.8304 alpha=90.00 beta=90.00 gamma=90.00
Element x y z (fractional)
K1 0.2230 0.2500 0.2017
K2 0.2770 0.7500 0.7017
K3 0.7230 0.2500 0.2983
K4 0.7770 0.7500 0.7983
Ce1 0.2490 0.7500 0.4381
Ce2 0.2510 0.2500 0.9381
Ce3 0.7490 0.7500 0.0619
Ce4 0.7510 0.2500 0.5619
F1 0.0047 0.2500 0.0591
F2 0.0884 0.2500 0.8059
F3 0.1038 0.2500 0.3639
F4 0.1362 0.2500 0.5361
F5 0.3638 0.7500 0.0361
F6 0.3962 0.7500 0.8639
F7 0.4116 0.7500 0.3059
F8 0.4953 0.7500 0.5591
F9 0.5047 0.2500 0.4409
F10 0.5884 0.2500 0.6941
F11 0.6038 0.2500 0.1361
F12 0.6362 0.2500 0.9639
F13 0.8638 0.7500 0.4639
F14 0.8962 0.7500 0.6361
F15 0.9116 0.7500 0.1941
F16 0.9953 0.7500 0.9409

Top 8 peaks for 2θ = 5–70°, in order of rising 2θ:
- 11.18°, intensity 64
- 17.86°, intensity 54
- 26.51°, intensity 64
- 27.95°, intensity 100
- 28.98°, intensity 36
- 40.72°, intensity 56
- 49.02°, intensity 32
- 49.47°, intensity 27

=====

3.
Calculated powder diffractogram of LiCeF5 for Cu Kα (weighted mean of Kα1 and Kα2), from a crystal structure in the Materials Project, relaxed with GGA-PBE.
Intensities are scaled so that the largest is 100.

Cell and atoms:
Unit cell a=11.0572 b=11.0572 c=11.0572 alpha=95.21 beta=95.21 gamma=144.92
Element x y z (fractional)
Li1 0.1592 0.0681 0.2607
Li2 0.3074 0.8985 0.2393
Li3 0.3985 0.6592 0.5911
Li4 0.4319 0.1926 0.0911
Li5 0.5681 0.8074 0.9089
Li6 0.6015 0.3408 0.4089
Li7 0.6926 0.1015 0.7607
Li8 0.8408 0.9319 0.7393
Ce1 0.1777 0.6855 0.8800
Ce2 0.1855 0.8055 0.5078
Ce3 0.2023 0.3223 0.0078
Ce4 0.3055 0.2977 0.6200
Ce5 0.6945 0.7023 0.3800
Ce6 0.7977 0.6777 0.9922
Ce7 0.8145 0.1945 0.4922
Ce8 0.8223 0.3145 0.1200
F1 0.0409 0.6121 0.2915
F2 0.0484 0.0894 0.1168
F3 0.0534 0.3534 0.1156
F4 0.0990 0.0829 0.4155
F5 0.1121 0.3206 0.5711
F6 0.1414 0.9311 0.1141
F7 0.1466 0.7622 0.7001
F8 0.1674 0.6835 0.0845
F9 0.1794 0.2505 0.7915
F10 0.1835 0.5990 0.5162
F11 0.2495 0.5409 0.9289
F12 0.2622 0.0621 0.6156
F13 0.3169 0.0273 0.3859
F14 0.4106 0.0274 0.9591
F15 0.4171 0.3326 0.0162
F16 0.4311 0.8169 0.7897
F17 0.4317 0.5484 0.4591
F18 0.4379 0.5534 0.2001
F19 0.4727 0.3586 0.2897
F20 0.4726 0.9317 0.3832
F21 0.5274 0.0683 0.6168
F22 0.5273 0.6414 0.7103
F23 0.5621 0.4466 0.7999
F24 0.5683 0.4516 0.5409
F25 0.5689 0.1831 0.2103
F26 0.5829 0.6674 0.9838
F27 0.5894 0.9726 0.0409
F28 0.6831 0.9727 0.6141
F29 0.7378 0.9379 0.3844
F30 0.7505 0.4591 0.0711
F31 0.8165 0.4010 0.4838
F32 0.8206 0.7495 0.2085
F33 0.8326 0.3165 0.9155
F34 0.8534 0.2378 0.2999
F35 0.8586 0.0689 0.8859
F36 0.8879 0.6794 0.4289
F37 0.9010 0.9171 0.5845
F38 0.9466 0.6466 0.8844
F39 0.9516 0.9106 0.8832
F40 0.9591 0.3879 0.7085

Top 8 peaks for 2θ = 5–70°, in order of rising 2θ:
- 16.82°, intensity 83
- 18.82°, intensity 100
- 22.31°, intensity 50
- 25.35°, intensity 54
- 26.74°, intensity 61
- 28.07°, intensity 42
- 29.36°, intensity 50
- 43.79°, intensity 92

=====

4.
Calculated powder diffractogram of CeN2F6 for Cu Kα (weighted mean of Kα1 and Kα2), from a crystal structure in the Materials Project, relaxed with GGA-PBE.
Intensities are scaled so that the largest is 100.

Cell and atoms:
Unit cell a=7.4917 b=8.6315 c=15.6394 alpha=90.30 beta=90.42 gamma=90.26
Element x y z (fractional)
Ce1 0.0000 0.0000 0.0000
Ce2 0.0002 0.4994 0.5000
Ce3 0.5000 0.0001 0.9994
Ce4 0.5002 0.4997 0.4994
N1 0.2065 0.4008 0.1947
N2 0.2081 0.0987 0.6942
N3 0.2916 0.5962 0.8063
N4 0.2944 0.9271 0.3186
N5 0.6916 0.0909 0.3083
N6 0.7086 0.4029 0.8058
N7 0.7932 0.9000 0.6945
N8 0.7935 0.5976 0.1938
F1 0.9995 0.7345 0.5013
F2 0.0007 0.2644 0.5009
F3 0.0035 0.2350 0.0013
F4 0.0974 0.3158 0.2438
F5 0.0981 0.1828 0.7434
F6 0.2469 0.0019 0.9148
F7 0.2472 0.4968 0.4147
F8 0.2529 0.5026 0.5846
F9 0.2527 0.9987 0.0846
F10 0.3760 0.8275 0.2655
F11 0.4007 0.6810 0.7571
F12 0.4960 0.7651 0.9981
F13 0.5000 0.2648 0.4983
F14 0.4997 0.7346 0.4983
F15 0.5038 0.2350 0.9978
F16 0.5989 0.3167 0.7562
F17 0.6045 0.1859 0.2547
F18 0.7501 0.0029 0.0845
F19 0.7504 0.4979 0.5846
F20 0.7500 0.5009 0.4147
F21 0.7499 0.9968 0.9148
F22 0.9026 0.6834 0.2437
F23 0.9037 0.8163 0.7439
F24 0.9964 0.7650 0.0014

Top 8 peaks for 2θ = 5–70°, in order of rising 2θ:
- 11.32°, intensity 34
- 11.71°, intensity 100
- 19.90°, intensity 30
- 20.58°, intensity 7
- 22.74°, intensity 16
- 26.31°, intensity 8
- 26.50°, intensity 18
- 31.62°, intensity 10

=====

5.
Calculated powder diffractogram of NaCeTiNbO6F for Cu Kα (weighted mean of Kα1 and Kα2), from a crystal structure in the Materials Project, relaxed with GGA-PBE.
Intensities are scaled so that the largest is 100.

Cell and atoms:
Unit cell a=7.3824 b=7.3824 c=7.3824 alpha=121.18 beta=117.93 gamma=90.79
Element x y z (fractional)
Na1 0.5000 0.0000 0.0000
Na2 0.5000 0.5000 0.5000
Ce1 0.0000 0.0000 0.0000
Ce2 0.5000 0.0000 0.5000
Ti1 0.0000 0.0000 0.5000
Ti2 0.0000 0.5000 0.0000
Nb1 0.0000 0.5000 0.5000
Nb2 0.5000 0.5000 0.0000
O1 0.0631 0.4163 0.2343
O2 0.0631 0.8289 0.6468
O3 0.0784 0.8284 0.2500
O4 0.3160 0.5660 0.7500
O5 0.3179 0.1711 0.7343
O6 0.3179 0.5837 0.1468
O7 0.6821 0.4163 0.8532
O8 0.6821 0.8289 0.2657
O9 0.6840 0.4340 0.2500
O10 0.9216 0.1716 0.7500
O11 0.9369 0.1711 0.3532
O12 0.9369 0.5837 0.7657
F1 0.3797 0.1297 0.2500
F2 0.6203 0.8703 0.7500

Top 8 peaks for 2θ = 5–70°, in order of rising 2θ:
- 17.10°, intensity 52
- 29.11°, intensity 100
- 30.08°, intensity 91
- 34.16°, intensity 31
- 38.44°, intensity 26
- 49.42°, intensity 64
- 57.51°, intensity 28
- 59.22°, intensity 39

=====

Copy entry 4 word for word.
Calculated powder diffractogram of CeN2F6 for Cu Kα (weighted mean of Kα1 and Kα2), from a crystal structure in the Materials Project, relaxed with GGA-PBE.
Intensities are scaled so that the largest is 100.

Cell and atoms:
Unit cell a=7.4917 b=8.6315 c=15.6394 alpha=90.30 beta=90.42 gamma=90.26
Element x y z (fractional)
Ce1 0.0000 0.0000 0.0000
Ce2 0.0002 0.4994 0.5000
Ce3 0.5000 0.0001 0.9994
Ce4 0.5002 0.4997 0.4994
N1 0.2065 0.4008 0.1947
N2 0.2081 0.0987 0.6942
N3 0.2916 0.5962 0.8063
N4 0.2944 0.9271 0.3186
N5 0.6916 0.0909 0.3083
N6 0.7086 0.4029 0.8058
N7 0.7932 0.9000 0.6945
N8 0.7935 0.5976 0.1938
F1 0.9995 0.7345 0.5013
F2 0.0007 0.2644 0.5009
F3 0.0035 0.2350 0.0013
F4 0.0974 0.3158 0.2438
F5 0.0981 0.1828 0.7434
F6 0.2469 0.0019 0.9148
F7 0.2472 0.4968 0.4147
F8 0.2529 0.5026 0.5846
F9 0.2527 0.9987 0.0846
F10 0.3760 0.8275 0.2655
F11 0.4007 0.6810 0.7571
F12 0.4960 0.7651 0.9981
F13 0.5000 0.2648 0.4983
F14 0.4997 0.7346 0.4983
F15 0.5038 0.2350 0.9978
F16 0.5989 0.3167 0.7562
F17 0.6045 0.1859 0.2547
F18 0.7501 0.0029 0.0845
F19 0.7504 0.4979 0.5846
F20 0.7500 0.5009 0.4147
F21 0.7499 0.9968 0.9148
F22 0.9026 0.6834 0.2437
F23 0.9037 0.8163 0.7439
F24 0.9964 0.7650 0.0014

Top 8 peaks for 2θ = 5–70°, in order of rising 2θ:
- 11.32°, intensity 34
- 11.71°, intensity 100
- 19.90°, intensity 30
- 20.58°, intensity 7
- 22.74°, intensity 16
- 26.31°, intensity 8
- 26.50°, intensity 18
- 31.62°, intensity 10